The following is a simulated PXRD pattern of Nd2PuH8. It was derived from a PBE-relaxed structure, using Cu Kα (λ = 1.5418 Å).

Most intense lines, 15 to 90 degrees two-theta, by intensity:
2θ = 28.81°, intensity 100
2θ = 33.64°, intensity 33
2θ = 47.75°, intensity 26
2θ = 32.88°, intensity 19
2θ = 56.23°, intensity 16
2θ = 57.16°, intensity 15
2θ = 57.31°, intensity 15
2θ = 59.78°, intensity 7
2θ = 59.58°, intensity 7
2θ = 48.21°, intensity 6

Structure:
```
data_Nd2PuH8
_chemical_formula_sum 'Nd2 Pu1 H8'
_symmetry_space_group_name_H-M 'P 1'
_symmetry_Int_Tables_number 1
_cell_length_a 6.5405
_cell_length_b 6.5405
_cell_length_c 6.5405
_cell_angle_alpha 146.45
_cell_angle_beta 130.77
_cell_angle_gamma 60.90
loop_
_symmetry_equiv_pos_as_xyz
'x,y,z'
loop_
_atom_site_label
_atom_site_type_symbol
_atom_site_fract_x
_atom_site_fract_y
_atom_site_fract_z
Nd1 Nd 0.1700 0.1700 0.0000
Nd2 Nd 0.8300 0.8300 0.0000
Pu1 Pu 0.5000 0.5000 0.0000
H1 H 0.0839 0.3430 0.7408
H2 H 0.2381 0.0000 0.2381
H3 H 0.3433 0.8433 0.5000
H4 H 0.3978 0.6570 0.7408
H5 H 0.6022 0.3430 0.2592
H6 H 0.6567 0.1567 0.5000
H7 H 0.7619 0.0000 0.7619
H8 H 0.9161 0.6570 0.2592
```